For Co3BiC9O9, DFT lattice parameters and positions (GGA+U) gives the calculated powder diffractogram in this record (Cu Kα X-rays).

Most intense lines, 2θ from 10° to 80°, sorted by position:
d [Å], Rel. int., index
5.541, 1000, 1 0 1
5.289, 792, 1 1 0
4.581, 344, 2 0 0
3.826, 426, 2 0 1
3.100, 779, 2 1 1
2.906, 273, 1 1 2
2.387, 588, 3 1 1
2.295, 276, 3 0 2
2.248, 359, 1 0 3
1.733, 309, 4 1 2

Structure:
Cell lengths 10.579, 10.579, 6.958 Å; angles 90.00, 90.00, 120.00 degrees
Element x y z (fractional)
Co  0.253  0.507  0.000
Co  0.253  0.747  0.000
Co  0.493  0.747  0.000
Co  0.507  0.253  0.500
Co  0.747  0.253  0.500
Co  0.747  0.493  0.500
Bi  0.333  0.667  0.685
Bi  0.667  0.333  0.185
C  0.099  0.549  0.014
C  0.178  0.357  0.846
C  0.178  0.822  0.846
C  0.212  0.423  0.226
C  0.212  0.788  0.226
C  0.357  0.178  0.346
C  0.423  0.212  0.726
C  0.451  0.549  0.014
C  0.451  0.901  0.014
C  0.549  0.099  0.514
C  0.549  0.451  0.514
C  0.577  0.788  0.226
C  0.643  0.822  0.846
C  0.788  0.212  0.726
C  0.788  0.577  0.726
C  0.822  0.178  0.346
C  0.822  0.643  0.346
C  0.901  0.451  0.514
O  0.030  0.515  0.528
O  0.124  0.247  0.762
O  0.124  0.876  0.762
O  0.182  0.364  0.373
O  0.182  0.818  0.373
O  0.247  0.124  0.262
O  0.364  0.182  0.873
O  0.485  0.515  0.528
O  0.485  0.970  0.528
O  0.515  0.030  0.028
O  0.515  0.485  0.028
O  0.636  0.818  0.373
O  0.753  0.876  0.762
O  0.818  0.182  0.873
O  0.818  0.636  0.873
O  0.876  0.124  0.262
O  0.876  0.753  0.262
O  0.970  0.485  0.028